Computed X-ray diffraction stick pattern of Pu3Fe2Ge3 for Cu Kα, from DFT lattice parameters and positions (GGA-PBE).

The 10 most intense peaks (10 to 80 degrees two-theta), most intense first:
| d_spacing | Position (°2θ) | intensity |
| --- | --- | --- |
| 2.636 | 34.0 | 100 |
| 2.602 | 34.5 | 92 |
| 3.478 | 25.6 | 36 |
| 2.113 | 42.8 | 35 |
| 2.493 | 36.0 | 26 |
| 3.765 | 23.6 | 25 |
| 1.617 | 57.0 | 24 |
| 2.313 | 38.9 | 21 |
| 2.245 | 40.2 | 21 |
| 1.632 | 56.4 | 21 |

Atomic structure:
```
Pu3Fe2Ge3
1.0
2.113 -5.090 0.000
2.113 5.090 0.000
0.000 0.000 14.295
Pu Fe Ge
6 4 6
direct
0.091 0.909 0.612
0.091 0.909 0.888
0.392 0.608 0.750
0.608 0.392 0.250
0.909 0.091 0.112
0.909 0.091 0.388
0.222 0.778 0.086
0.222 0.778 0.414
0.778 0.222 0.586
0.778 0.222 0.914
0.311 0.689 0.250
0.386 0.614 0.545
0.386 0.614 0.955
0.614 0.386 0.045
0.614 0.386 0.455
0.689 0.311 0.750
```

***

Computed X-ray diffraction stick pattern of Pu2FeCo3B12 for Cu Kα, from DFT lattice parameters and positions (GGA-PBE).

The 10 most intense peaks (10 to 80 degrees two-theta), most intense first:
| d_spacing | Position (°2θ) | intensity |
| --- | --- | --- |
| 2.511 | 35.8 | 100 |
| 3.540 | 25.2 | 69 |
| 7.326 | 12.1 | 57 |
| 2.672 | 33.5 | 44 |
| 2.598 | 34.5 | 28 |
| 1.863 | 48.9 | 26 |
| 3.663 | 24.3 | 26 |
| 2.302 | 39.1 | 25 |
| 1.834 | 49.7 | 22 |
| 3.187 | 28.0 | 21 |

Atomic structure:
```
Pu2FeCo3B12
1.0
2.672 1.543 7.326
-2.672 1.543 7.326
0.000 -3.086 7.326
Pu Fe Co B
2 1 3 12
direct
0.141 0.141 0.141
0.859 0.859 0.859
0.500 0.500 0.500
0.000 0.500 0.500
0.500 0.000 0.500
0.500 0.500 0.000
0.154 0.154 0.477
0.154 0.477 0.154
0.179 0.551 0.551
0.449 0.449 0.821
0.449 0.821 0.449
0.477 0.154 0.154
0.523 0.846 0.846
0.551 0.179 0.551
0.551 0.551 0.179
0.821 0.449 0.449
0.846 0.523 0.846
0.846 0.846 0.523
```

***

Computed X-ray diffraction stick pattern of Tm3Ga4Ni8 for Cu Kα, from DFT lattice parameters and positions (GGA-PBE).

The 10 most intense peaks (10 to 80 degrees two-theta), most intense first:
| d_spacing | Position (°2θ) | intensity |
| --- | --- | --- |
| 2.135 | 42.3 | 100 |
| 2.324 | 38.7 | 27 |
| 1.233 | 77.4 | 24 |
| 3.019 | 29.6 | 21 |
| 2.700 | 33.2 | 15 |
| 3.486 | 25.6 | 13 |
| 2.465 | 36.4 | 12 |
| 1.350 | 69.6 | 11 |
| 2.013 | 45.0 | 10 |
| 1.510 | 61.4 | 9 |

Atomic structure:
```
Tm3Ga4Ni8
1.0
0.000 6.038 6.038
6.038 0.000 6.038
6.038 6.038 0.000
Tm Ga Ni
6 8 16
direct
0.230 0.230 0.770
0.230 0.770 0.230
0.230 0.770 0.770
0.770 0.230 0.230
0.770 0.230 0.770
0.770 0.770 0.230
0.000 0.000 0.000
0.000 0.000 0.500
0.000 0.500 0.000
0.000 0.500 0.500
0.500 0.000 0.000
0.500 0.000 0.500
0.500 0.500 0.000
0.500 0.500 0.500
0.126 0.625 0.625
0.173 0.173 0.173
0.173 0.173 0.480
0.173 0.480 0.173
0.375 0.375 0.375
0.375 0.375 0.874
0.375 0.874 0.375
0.480 0.173 0.173
0.520 0.827 0.827
0.625 0.126 0.625
0.625 0.625 0.126
0.625 0.625 0.625
0.827 0.520 0.827
0.827 0.827 0.520
0.827 0.827 0.827
0.874 0.375 0.375
```

***

Computed X-ray diffraction stick pattern of Ag2P2H2O7 for Cu Kα, from DFT lattice parameters and positions (GGA-PBE).

The 10 most intense peaks (10 to 80 degrees two-theta), most intense first:
| d_spacing | Position (°2θ) | intensity |
| --- | --- | --- |
| 3.020 | 29.6 | 100 |
| 3.555 | 25.0 | 57 |
| 3.103 | 28.8 | 55 |
| 2.588 | 34.7 | 51 |
| 2.337 | 38.5 | 38 |
| 2.813 | 31.8 | 31 |
| 5.176 | 17.1 | 30 |
| 1.883 | 48.3 | 24 |
| 1.674 | 54.8 | 20 |
| 6.037 | 14.7 | 19 |

Atomic structure:
```
Ag2P2H2O7
1.0
0.000 6.206 14.220
3.562 0.000 14.220
3.562 6.206 0.000
Ag P H O
8 8 8 28
direct
0.135 0.215 0.333
0.184 0.667 0.785
0.215 0.135 0.816
0.333 0.816 0.135
0.667 0.184 0.865
0.785 0.865 0.184
0.816 0.333 0.215
0.865 0.785 0.667
0.145 0.748 0.318
0.252 0.855 0.711
0.289 0.318 0.748
0.318 0.289 0.145
0.682 0.711 0.855
0.711 0.682 0.252
0.748 0.145 0.289
0.855 0.252 0.682
0.196 0.554 0.196
0.262 0.262 0.488
0.446 0.804 0.446
0.488 0.488 0.262
0.512 0.512 0.738
0.554 0.196 0.554
0.738 0.738 0.512
0.804 0.446 0.804
0.024 0.808 0.550
0.030 0.030 0.720
0.118 0.550 0.808
0.137 0.529 0.252
0.192 0.976 0.882
0.246 0.273 0.665
0.252 0.582 0.137
0.273 0.246 0.315
0.280 0.280 0.970
0.315 0.665 0.273
0.335 0.685 0.754
0.418 0.748 0.471
0.450 0.882 0.976
0.471 0.863 0.418
0.529 0.137 0.582
0.550 0.118 0.024
0.582 0.252 0.529
0.665 0.315 0.246
0.685 0.335 0.727
0.720 0.720 0.030
0.727 0.754 0.685
0.748 0.418 0.863
0.754 0.727 0.335
0.808 0.024 0.118
0.863 0.471 0.748
0.882 0.450 0.192
0.970 0.970 0.280
0.976 0.192 0.450
```

***

Computed X-ray diffraction stick pattern of Rb3Tl11 for Cu Kα, from DFT lattice parameters and positions (GGA-PBE).

The 10 most intense peaks (10 to 80 degrees two-theta), most intense first:
| d_spacing | Position (°2θ) | intensity |
| --- | --- | --- |
| 3.177 | 28.1 | 100 |
| 2.689 | 33.3 | 53 |
| 2.972 | 30.1 | 48 |
| 2.482 | 36.2 | 38 |
| 2.587 | 34.7 | 33 |
| 2.606 | 34.4 | 32 |
| 6.009 | 14.7 | 29 |
| 2.343 | 38.4 | 25 |
| 1.871 | 48.7 | 24 |
| 4.782 | 18.6 | 20 |

Atomic structure:
```
Rb3Tl11
1.0
-2.689 6.009 7.818
2.689 -6.009 7.818
2.689 6.009 -7.818
Rb Tl
3 11
direct
0.000 0.000 0.000
0.303 0.303 0.000
0.697 0.697 0.000
0.028 0.665 0.363
0.138 0.860 0.278
0.302 0.665 0.637
0.313 0.500 0.813
0.418 0.140 0.278
0.500 0.000 0.500
0.582 0.860 0.722
0.687 0.500 0.187
0.698 0.335 0.363
0.862 0.140 0.722
0.972 0.335 0.637
```

***

Computed X-ray diffraction stick pattern of RbZn3Te for Cu Kα, from DFT lattice parameters and positions (GGA-PBE).

The 10 most intense peaks (10 to 80 degrees two-theta), most intense first:
| d_spacing | Position (°2θ) | intensity |
| --- | --- | --- |
| 2.837 | 31.5 | 100 |
| 2.006 | 45.2 | 72 |
| 4.013 | 22.2 | 52 |
| 5.675 | 15.6 | 36 |
| 3.276 | 27.2 | 34 |
| 1.269 | 74.8 | 31 |
| 1.638 | 56.1 | 25 |
| 2.317 | 38.9 | 24 |
| 2.538 | 35.4 | 19 |
| 1.711 | 53.6 | 15 |

Atomic structure:
```
RbZn3Te
1.0
5.675 0.000 0.000
0.000 5.675 0.000
0.000 0.000 5.675
Rb Zn Te
1 3 1
direct
0.000 0.000 0.000
0.000 0.500 0.500
0.500 0.000 0.500
0.500 0.500 0.000
0.500 0.500 0.500
```

***

Computed X-ray diffraction stick pattern of Pm6Nd7Dy16 for Cu Kα, from DFT lattice parameters and positions (GGA-PBE).

The 10 most intense peaks (10 to 80 degrees two-theta), most intense first:
| d_spacing | Position (°2θ) | intensity |
| --- | --- | --- |
| 2.819 | 31.7 | 100 |
| 1.627 | 56.6 | 27 |
| 1.993 | 45.5 | 14 |
| 1.409 | 66.3 | 7 |
| 3.068 | 29.1 | 7 |
| 1.260 | 75.4 | 7 |
| 3.565 | 25.0 | 7 |
| 2.657 | 33.7 | 6 |
| 3.255 | 27.4 | 6 |
| 2.695 | 33.2 | 6 |

Atomic structure:
```
Pm6Nd7Dy16
1.0
0.000 7.972 7.972
7.972 0.000 7.972
7.972 7.972 0.000
Pm Nd Dy
6 7 16
direct
0.236 0.236 0.764
0.236 0.764 0.236
0.236 0.764 0.764
0.764 0.236 0.236
0.764 0.236 0.764
0.764 0.764 0.236
0.000 0.000 0.500
0.000 0.500 0.000
0.000 0.500 0.500
0.500 0.000 0.000
0.500 0.000 0.500
0.500 0.500 0.000
0.500 0.500 0.500
0.113 0.629 0.629
0.151 0.151 0.151
0.151 0.151 0.548
0.151 0.548 0.151
0.371 0.371 0.371
0.371 0.371 0.887
0.371 0.887 0.371
0.452 0.849 0.849
0.548 0.151 0.151
0.629 0.113 0.629
0.629 0.629 0.113
0.629 0.629 0.629
0.849 0.452 0.849
0.849 0.849 0.452
0.849 0.849 0.849
0.887 0.371 0.371
```

***

Computed X-ray diffraction stick pattern of Ca8GaIr2 for Cu Kα, from DFT lattice parameters and positions (GGA-PBE).

The 10 most intense peaks (10 to 80 degrees two-theta), most intense first:
| d_spacing | Position (°2θ) | intensity |
| --- | --- | --- |
| 5.520 | 16.1 | 100 |
| 3.923 | 22.7 | 91 |
| 4.371 | 20.3 | 80 |
| 2.428 | 37.0 | 80 |
| 4.232 | 21.0 | 72 |
| 3.047 | 29.3 | 63 |
| 2.813 | 31.8 | 56 |
| 2.358 | 38.2 | 53 |
| 6.590 | 13.4 | 50 |
| 2.039 | 44.4 | 49 |

Atomic structure:
```
Ca8GaIr2
1.0
4.504 -6.590 0.000
4.504 6.590 0.000
-1.372 0.000 5.520
Ca Ga Ir
8 1 2
direct
0.000 0.000 0.000
0.048 0.317 0.620
0.135 0.619 0.203
0.317 0.048 0.620
0.438 0.707 0.783
0.619 0.135 0.203
0.707 0.438 0.783
0.756 0.756 0.408
0.377 0.377 0.243
0.062 0.694 0.703
0.694 0.062 0.703
```

***

Computed X-ray diffraction stick pattern of DyTlAgS2 for Cu Kα, from DFT lattice parameters and positions (GGA-PBE).

The 10 most intense peaks (10 to 80 degrees two-theta), most intense first:
| d_spacing | Position (°2θ) | intensity |
| --- | --- | --- |
| 2.697 | 33.2 | 100 |
| 3.035 | 29.4 | 69 |
| 4.616 | 19.2 | 55 |
| 3.066 | 29.1 | 54 |
| 2.549 | 35.2 | 53 |
| 3.433 | 26.0 | 45 |
| 2.768 | 32.3 | 33 |
| 1.751 | 52.2 | 31 |
| 1.903 | 47.8 | 30 |
| 3.091 | 28.9 | 22 |

Atomic structure:
```
DyTlAgS2
1.0
6.334 0.000 0.000
0.000 6.010 0.000
-1.864 0.000 7.210
Dy Tl Ag S
2 2 2 4
direct
0.000 0.017 0.250
0.000 0.983 0.750
0.500 0.311 0.250
0.500 0.689 0.750
0.000 0.500 0.000
0.000 0.500 0.500
0.249 0.186 0.564
0.249 0.814 0.064
0.751 0.186 0.936
0.751 0.814 0.436
```

***

Computed X-ray diffraction stick pattern of Pr2Nd6In for Cu Kα, from DFT lattice parameters and positions (GGA-PBE).

The 10 most intense peaks (10 to 80 degrees two-theta), most intense first:
| d_spacing | Position (°2θ) | intensity |
| --- | --- | --- |
| 2.819 | 31.7 | 100 |
| 2.858 | 31.3 | 87 |
| 2.743 | 32.6 | 62 |
| 2.763 | 32.4 | 61 |
| 3.160 | 28.2 | 33 |
| 3.308 | 27.0 | 30 |
| 2.080 | 43.5 | 25 |
| 1.599 | 57.7 | 24 |
| 1.458 | 63.9 | 23 |
| 1.852 | 49.2 | 18 |

Atomic structure:
```
Pr2Nd6In
1.0
-3.160 4.724 10.218
3.160 -4.724 10.218
3.160 4.724 -10.218
Pr Nd In
4 12 2
direct
0.170 0.053 0.223
0.330 0.553 0.882
0.670 0.447 0.118
0.830 0.947 0.777
0.003 0.721 0.073
0.084 0.584 0.500
0.148 0.221 0.717
0.352 0.070 0.073
0.416 0.916 0.500
0.497 0.570 0.717
0.503 0.430 0.283
0.584 0.084 0.500
0.648 0.930 0.927
0.852 0.779 0.283
0.916 0.416 0.500
0.997 0.279 0.927
0.250 0.750 0.500
0.750 0.250 0.500
```

***

Computed X-ray diffraction stick pattern of TbPm5Sm5 for Cu Kα, from DFT lattice parameters and positions (GGA-PBE).

The 10 most intense peaks (10 to 80 degrees two-theta), most intense first:
| d_spacing | Position (°2θ) | intensity |
| --- | --- | --- |
| 2.838 | 31.5 | 100 |
| 2.869 | 31.2 | 61 |
| 2.817 | 31.8 | 60 |
| 2.809 | 31.9 | 49 |
| 1.641 | 56.0 | 35 |
| 2.773 | 32.3 | 32 |
| 2.900 | 30.8 | 21 |
| 3.608 | 24.7 | 19 |
| 2.858 | 31.3 | 19 |
| 2.002 | 45.3 | 17 |

Atomic structure:
```
TbPm5Sm5
1.0
6.997 0.000 0.000
2.417 6.569 0.000
2.221 1.590 8.319
Tb Pm Sm
1 5 5
direct
0.000 0.000 0.000
0.000 0.500 0.000
0.146 0.147 0.362
0.354 0.769 0.733
0.646 0.231 0.267
0.854 0.853 0.638
0.223 0.649 0.272
0.319 0.313 0.637
0.500 0.000 0.000
0.681 0.687 0.363
0.777 0.351 0.728
```